Starting from a crystal structure in the Materials Project, relaxed with GGA-PBE, the powder diffractogram of Sm2GeRu3 was computed for λ = 1.5418 Å (Cu Kα).
Peak positions follow from Bragg's law for the DFT cell and can differ from measured ones.

The 6 most intense peaks (10° ≤ 2θ ≤ 80°), in order of rising 2θ:
2θ/deg	I_rel
31.95	39.3
34.59	46.0
37.80	66.2
38.97	100.0
39.97	40.6
41.22	36.7

Structural model:
```
Sm2GeRu3
1.0
2.8010 1.6172 4.0908
-2.8010 1.6172 4.0908
0.0000 -3.2343 4.0908
Sm Ge Ru
2 1 3
Cartesian
0.0000 0.0000 1.5671
0.0000 0.0000 10.7055
0.0000 0.0000 6.1363
-1.4005 -0.8086 4.0908
-1.4005 0.8086 8.1817
0.0000 1.6172 4.0908
```